Theoretical powder XRD pattern of GdSnPt for Cu Kα, from a cell relaxed with PBE.
Neutral-atom scattering factors, no anomalous dispersion.

Peak list (8 most intense, 10 to 90 degrees two-theta, in order of falling intensity)
| 2θ (°) | I/Imax |
| --- | --- |
| 35.17 | 100 |
| 32.31 | 75 |
| 41.36 | 43 |
| 42.75 | 38 |
| 66.31 | 33 |
| 36.29 | 33 |
| 44.50 | 27 |
| 62.36 | 26 |

Atomic structure:
```
data_GdSnPt
_symmetry_space_group_name_H-M 'P -6 2 m'
_symmetry_Int_Tables_number 189
_symmetry_space_group_name_Hall 'P -6 -2'
_cell_length_a 7.5629
_cell_length_b 7.5629
_cell_length_c 4.0719
_cell_angle_alpha 90.00
_cell_angle_beta 90.00
_cell_angle_gamma 120.00
loop_
_atom_site_label
_atom_site_type_symbol
_atom_site_fract_x
_atom_site_fract_y
_atom_site_fract_z
Gd1 Gd 0.0000 0.5898 0.0000
Sn1 Sn 0.0000 0.2554 0.5000
Pt1 Pt 0.0000 0.0000 0.0000
Pt2 Pt 0.3333 0.6667 0.5000
```